No. 1
Structure and simulated powder XRD pattern of YCdAg4 (a crystal structure in OQMD, relaxed with PBE; Cu Kα).
Lines closer than 0.1° are merged.

Largest 6 diffraction maxima, in order of rising 2θ, 10° ≤ 2θ ≤ 90°:
- d 2.791, rel. 24
- d 2.380, rel. 100
- d 2.279, rel. 43
- d 1.520, rel. 29
- d 1.397, rel. 13
- d 1.394, rel. 13

Crystal structure
```
YCdAg4
1.0
2.7936 1.6129 4.5500
-2.7936 1.6129 4.5500
0.0000 -3.2258 4.5500
Y Cd Ag
1 1 4
Direct
0.0000 0.0000 0.0000
0.7495 0.7495 0.7495
0.3757 0.3757 0.3757
0.3756 0.3756 0.8746
0.3756 0.8746 0.3756
0.8746 0.3756 0.3756
```

No. 2
Structure and simulated powder XRD pattern of Zr3Cd5B (a crystal structure in OQMD, relaxed with PBE; Cu Kα).
Lines closer than 0.1° are merged.

Largest 6 diffraction maxima, in order of rising 2θ, 10° ≤ 2θ ≤ 90°:
- d 8.543, rel. 39
- d 2.848, rel. 32
- d 2.637, rel. 69
- d 2.445, rel. 32
- d 2.399, rel. 100
- d 2.325, rel. 53

Crystal structure
```
Zr3Cd5B
1.0
4.8192 0.0000 0.0000
1.9734 4.7767 0.0000
0.0286 0.0129 8.5429
Zr Cd B
3 5 1
Direct
0.0000 0.0000 0.0000
0.0010 0.5004 0.3398
0.5006 0.0005 0.5287
0.1370 0.7002 0.6604
0.3356 0.3358 0.9228
0.4995 0.9989 0.2036
0.6651 0.6646 0.9227
0.8632 0.3002 0.6606
0.5008 0.5003 0.4487
```

No. 3
Structure and simulated powder XRD pattern of Nd2Sm2B2I5 (a crystal structure in OQMD, relaxed with PBE; Cu Kα).
Lines closer than 0.1° are merged.

Largest 6 diffraction maxima, in order of rising 2θ, 10° ≤ 2θ ≤ 90°:
- d 3.406, rel. 71
- d 3.387, rel. 25
- d 3.140, rel. 21
- d 3.007, rel. 100
- d 2.254, rel. 79
- d 1.758, rel. 21

Crystal structure
```
Nd2Sm2B2I5
1.0
10.4508 -2.0523 0.0000
10.4508 2.0523 0.0000
-1.8539 0.0000 8.6390
Nd Sm B I
2 2 2 5
Direct
0.0006 0.0006 0.1939
0.9994 0.9994 0.8061
0.3439 0.3439 0.9170
0.6561 0.6561 0.0830
0.4616 0.4616 0.9816
0.5384 0.5384 0.0184
0.1621 0.1621 0.3503
0.1687 0.1687 0.8200
0.5000 0.5000 0.5000
0.8313 0.8313 0.1800
0.8379 0.8379 0.6497
```

No. 4
Structure and simulated powder XRD pattern of ZrCoSi (a crystal structure in OQMD, relaxed with PBE; Cu Kα).
Lines closer than 0.1° are merged.

Largest 6 diffraction maxima, in order of rising 2θ, 10° ≤ 2θ ≤ 90°:
- d 3.475, rel. 18
- d 2.379, rel. 100
- d 2.006, rel. 56
- d 1.533, rel. 24
- d 1.266, rel. 15
- d 1.218, rel. 22

Crystal structure
```
ZrCoSi
1.0
4.0120 0.0000 0.0000
-2.0060 3.4745 0.0000
0.0000 0.0000 6.5267
Zr Co Si
2 2 2
Direct
0.0000 0.0000 0.0000
0.0000 0.0000 0.5000
0.3333 0.6667 0.2995
0.6667 0.3333 0.7995
0.3333 0.6667 0.7328
0.6667 0.3333 0.2328
```

No. 5
Structure and simulated powder XRD pattern of ZrS2 (a crystal structure in OQMD, relaxed with PBE; Cu Kα).
Lines closer than 0.1° are merged.

Largest 6 diffraction maxima, in order of rising 2θ, 10° ≤ 2θ ≤ 90°:
- d 6.633, rel. 100
- d 4.195, rel. 41
- d 3.141, rel. 57
- d 2.429, rel. 61
- d 2.051, rel. 44
- d 1.808, rel. 45

Crystal structure
```
ZrS2
1.0
-6.6333 6.6333 1.8512
6.6333 -6.6333 1.8512
6.6333 6.6333 -1.8512
Zr S
4 8
Direct
0.1614 0.3315 0.4929
0.3315 0.8386 0.1701
0.6685 0.1614 0.8299
0.8386 0.6685 0.5071
0.0373 0.6679 0.7052
0.3026 0.6481 0.9507
0.3321 0.0373 0.3694
0.3519 0.3026 0.6545
0.6481 0.6974 0.3455
0.6679 0.9627 0.6306
0.6974 0.3519 0.0493
0.9627 0.3321 0.2948
```